Record 1
The following is a computed X-ray diffraction stick pattern of Ti12Ga3Au. It was derived from a structure optimized by DFT (PBE), using λ = 1.5418 Å (Cu Kα).
Neutral-atom scattering factors, no anomalous dispersion.

The 8 most intense peaks (2θ = 15–90°), sorted by position:
hkl 1 0 0, 17.47°, I 10; hkl 1 0 1, 19.55°, I 11; hkl 1 0 2, 24.80°, I 30; hkl 2 0 0, 35.36°, I 46; hkl 2 1 0, 39.70°, I 56; hkl 1 2 2, 43.67°, I 100; hkl 3 1 4, 69.24°, I 48; hkl 4 2 0, 85.59°, I 9

Structural model:
```
data_Ti12Ga3Au
_symmetry_space_group_name_H-M 'P m m m'
_symmetry_Int_Tables_number 47
_symmetry_space_group_name_Hall '-P 2 2'
_cell_length_a 5.074
_cell_length_b 5.084
_cell_length_c 10.148
_cell_angle_alpha 90.00
_cell_angle_beta 90.00
_cell_angle_gamma 90.00
loop_
_atom_site_label
_atom_site_fract_x
_atom_site_fract_y
_atom_site_fract_z
Ti1 0.000 0.000 0.124
Ti2 0.000 0.000 0.374
Ti3 0.250 0.500 0.000
Ti4 0.251 0.500 0.500
Ti5 0.500 0.250 0.250
Ga1 0.000 0.500 0.250
Ga2 0.500 0.000 0.000
Au1 0.500 0.000 0.500
```

---

Record 2
The following is a computed X-ray diffraction stick pattern of Dy3TmTl2. It was derived from a structure optimized by DFT (PBE), using λ = 1.5418 Å (Cu Kα).
Neutral-atom scattering factors, no anomalous dispersion.

The 8 most intense peaks (2θ = 15–90°), sorted by position:
hkl 1 0 2, 31.80°, I 56; hkl 0 2 2, 32.00°, I 24; hkl 1 3 0, 32.18°, I 100; hkl 1 1 2, 33.08°, I 80; hkl 1 3 1, 34.88°, I 32; hkl 2 0 0, 35.32°, I 57; hkl 0 3 2, 37.97°, I 25; hkl 2 3 2, 52.83°, I 19

Structural model:
```
data_Dy3TmTl2
_symmetry_space_group_name_H-M 'P m c 21'
_symmetry_Int_Tables_number 26
_symmetry_space_group_name_Hall 'P 2c -2'
_cell_length_a 5.082
_cell_length_b 9.970
_cell_length_c 6.759
_cell_angle_alpha 90.00
_cell_angle_beta 90.00
_cell_angle_gamma 90.00
loop_
_atom_site_label
_atom_site_fract_x
_atom_site_fract_y
_atom_site_fract_z
Dy1 0.000 0.039 0.000
Dy2 0.000 0.315 0.370
Dy3 0.500 0.189 0.722
Tm1 0.500 0.460 0.090
Tl1 0.000 0.365 0.840
Tl2 0.500 0.135 0.253
```

---

Record 3
The following is a computed X-ray diffraction stick pattern of Ca5As2PH. It was derived from a structure optimized by DFT (PBE), using λ = 1.5418 Å (Cu Kα).
Neutral-atom scattering factors, no anomalous dispersion.

The 8 most intense peaks (2θ = 15–90°), sorted by position:
hkl 1 3 2, 30.20°, I 28; hkl 1 1 3, 31.21°, I 100; hkl 0 6 1, 32.27°, I 32; hkl 1 5 0, 33.64°, I 29; hkl 1 5 2, 36.93°, I 59; hkl 2 0 0, 42.59°, I 28; hkl 0 6 5, 49.76°, I 15; hkl 2 6 1, 54.43°, I 13

Structural model:
```
data_Ca5As2PH
_symmetry_space_group_name_H-M 'C m c 21'
_symmetry_Int_Tables_number 36
_symmetry_space_group_name_Hall 'C 2c -2'
_cell_length_a 4.245
_cell_length_b 17.111
_cell_length_c 11.964
_cell_angle_alpha 90.00
_cell_angle_beta 90.00
_cell_angle_gamma 90.00
loop_
_atom_site_label
_atom_site_fract_x
_atom_site_fract_y
_atom_site_fract_z
Ca1 0.000 0.005 0.000
Ca2 0.000 0.140 0.717
Ca3 0.000 0.201 0.059
Ca4 0.000 0.201 0.372
Ca5 0.000 0.466 0.757
As1 0.000 0.384 0.018
As2 0.000 0.385 0.402
P1 0.000 0.305 0.714
H1 0.000 0.005 0.198
```

---

Record 4
The following is a computed X-ray diffraction stick pattern of BaMg14Ni. It was derived from a structure optimized by DFT (PBE), using λ = 1.5418 Å (Cu Kα).
Neutral-atom scattering factors, no anomalous dispersion.

The 8 most intense peaks (2θ = 15–90°), sorted by position:
hkl 2 0 0, 16.98°, I 23; hkl 1 0 2, 17.21°, I 34; hkl 1 1 3, 28.10°, I 18; hkl 0 2 2, 32.52°, I 47; hkl 4 0 0, 34.34°, I 45; hkl 2 0 4, 34.82°, I 71; hkl 2 2 2, 36.91°, I 100; hkl 4 2 2, 48.02°, I 28

Structural model:
```
data_BaMg14Ni
_symmetry_space_group_name_H-M 'A m m 2'
_symmetry_Int_Tables_number 38
_symmetry_space_group_name_Hall 'A 2 -2'
_cell_length_a 10.445
_cell_length_b 6.219
_cell_length_c 11.847
_cell_angle_alpha 90.00
_cell_angle_beta 90.00
_cell_angle_gamma 90.00
loop_
_atom_site_label
_atom_site_fract_x
_atom_site_fract_y
_atom_site_fract_z
Ba1 0.000 0.000 0.000
Mg1 0.000 0.240 0.252
Mg2 0.204 0.000 0.610
Mg3 0.255 0.244 0.377
Mg4 0.273 0.000 0.140
Mg5 0.500 0.000 0.476
Mg6 0.500 0.000 0.967
Mg7 0.500 0.243 0.724
Ni1 0.000 0.000 0.439
```